# 1
Simulated powder X-ray diffraction pattern of Nd7Dy3Y2 for CuKα, from a structure optimized by DFT (PBE).
Neutral-atom scattering factors, no anomalous dispersion.

Structure:
Cell: 19.4761 19.4761 3.6411 Å, 90.00 90.00 162.78°
Positions (direct):
Nd1 0.0000 0.0000 0.0000
Nd2 0.0724 0.9276 0.5000
Nd3 0.2323 0.7677 0.0000
Nd4 0.4072 0.5928 0.0000
Nd5 0.5928 0.4072 0.0000
Nd6 0.7677 0.2323 0.0000
Nd7 0.9276 0.0724 0.5000
Dy1 0.3152 0.6848 0.5000
Dy2 0.5000 0.5000 0.5000
Dy3 0.6848 0.3152 0.5000
Y1 0.1489 0.8511 0.0000
Y2 0.8511 0.1489 0.0000

Largest 10 diffraction maxima, in order of rising 2θ, 2θ from 5° to 70°:
2θ/deg  d_spacing  Rel. int.
27.80  3.209  185
29.76  3.002  390
30.66  2.916  506
30.79  2.904  223
31.20  2.867  1000
33.27  2.693  245
33.94  2.642  231
44.00  2.058  167
54.84  1.674  204
59.89  1.544  150

# 2
Simulated powder X-ray diffraction pattern of Na2YAlSe4 for CuKα, from a structure optimized by DFT (PBE).
Neutral-atom scattering factors, no anomalous dispersion.

Structure:
Cell: 8.1428 8.1428 8.1428 Å, 121.96 118.48 89.65°
Positions (direct):
Na1 0.0000 0.0000 0.0000
Na2 0.5000 0.0000 0.0000
Na3 0.5000 0.0000 0.5000
Na4 0.5000 0.5000 0.5000
Y1 0.0000 0.5000 0.5000
Y2 0.5000 0.5000 0.0000
Al1 0.0000 0.0000 0.5000
Al2 0.0000 0.5000 0.0000
Se1 0.2112 0.7486 0.4626
Se2 0.2140 0.2514 0.9626
Se3 0.2342 0.2381 0.5039
Se4 0.2342 0.7303 0.9961
Se5 0.7658 0.2697 0.0039
Se6 0.7658 0.7619 0.4961
Se7 0.7860 0.7486 0.0374
Se8 0.7888 0.2514 0.5374

Largest 10 diffraction maxima, in order of rising 2θ, 2θ from 5° to 70°:
2θ/deg  d_spacing  Rel. int.
13.58  6.521  176
26.38  3.378  121
27.35  3.261  141
30.97  2.888  521
31.21  2.866  1000
43.46  2.082  158
44.54  2.034  691
45.95  1.975  178
54.31  1.689  151
56.44  1.630  181

# 3
Simulated powder X-ray diffraction pattern of SmAl11Ru for CuKα, from a structure optimized by DFT (PBE).
Neutral-atom scattering factors, no anomalous dispersion.

Structure:
Cell: 6.8308 6.8308 7.1914 Å, 97.36 97.36 135.15°
Positions (direct):
Sm1 0.0000 0.0000 0.0000
Al1 0.0000 0.0000 0.5000
Al2 0.0000 0.5000 0.0000
Al3 0.0152 0.3628 0.3604
Al4 0.2805 0.4987 0.7722
Al5 0.3628 0.0152 0.3604
Al6 0.4987 0.2805 0.7722
Al7 0.5000 0.0000 0.0000
Al8 0.5013 0.7195 0.2278
Al9 0.6372 0.9848 0.6396
Al10 0.7195 0.5013 0.2278
Al11 0.9848 0.6372 0.6396
Ru1 0.5000 0.5000 0.5000

Largest 10 diffraction maxima, in order of rising 2θ, 2θ from 5° to 70°:
2θ/deg  d_spacing  Rel. int.
14.03  6.314  1000
19.72  4.501  970
26.71  3.338  670
28.15  3.170  533
33.52  2.673  683
38.55  2.336  589
39.00  2.309  939
39.38  2.288  703
40.08  2.250  775
40.32  2.237  512

# 4
Simulated powder X-ray diffraction pattern of Y3Cd3C for CuKα, from a structure optimized by DFT (PBE).
Neutral-atom scattering factors, no anomalous dispersion.

Structure:
Cell: 9.5964 9.5964 9.5964 Å, 60.00 60.00 60.00°
Positions (direct):
Y1 0.0648 0.0648 0.6852
Y2 0.0648 0.6852 0.0648
Y3 0.0648 0.6852 0.6852
Y4 0.3148 0.3148 0.9352
Y5 0.3148 0.9352 0.3148
Y6 0.3148 0.9352 0.9352
Y7 0.6852 0.0648 0.0648
Y8 0.6852 0.0648 0.6852
Y9 0.6852 0.6852 0.0648
Y10 0.9352 0.3148 0.3148
Y11 0.9352 0.3148 0.9352
Y12 0.9352 0.9352 0.3148
Cd1 0.0000 0.5000 0.5000
Cd2 0.2923 0.2923 0.2923
Cd3 0.2923 0.2923 0.6230
Cd4 0.2923 0.6230 0.2923
Cd5 0.3770 0.7077 0.7077
Cd6 0.5000 0.0000 0.5000
Cd7 0.5000 0.5000 0.0000
Cd8 0.5000 0.5000 0.5000
Cd9 0.6230 0.2923 0.2923
Cd10 0.7077 0.3770 0.7077
Cd11 0.7077 0.7077 0.3770
Cd12 0.7077 0.7077 0.7077
C1 0.0000 0.0000 0.0000
C2 0.0000 0.0000 0.5000
C3 0.0000 0.5000 0.0000
C4 0.5000 0.0000 0.0000

Largest 10 diffraction maxima, in order of rising 2θ, 2θ from 5° to 70°:
2θ/deg  d_spacing  Rel. int.
11.29  7.835  177
32.32  2.770  262
34.34  2.612  1000
37.49  2.399  283
39.86  2.262  139
44.27  2.046  74
57.63  1.599  315
58.94  1.567  81
62.75  1.481  65
68.83  1.364  205

# 5
Simulated powder X-ray diffraction pattern of CaPdSe for CuKα, from a structure optimized by DFT (PBE).
Neutral-atom scattering factors, no anomalous dispersion.

Structure:
Cell: 4.6691 4.0347 7.6266 Å, 90.00 98.83 90.00°
Positions (direct):
Ca1 0.0000 0.0000 0.0000
Ca2 0.5003 0.0000 0.4996
Pd1 0.1069 0.5000 0.6865
Pd2 0.8949 0.5000 0.3131
Se1 0.3692 0.5000 0.2102
Se2 0.6325 0.5000 0.7888

Largest 10 diffraction maxima, in order of rising 2θ, 2θ from 5° to 70°:
2θ/deg  d_spacing  Rel. int.
22.03  4.035  802
23.61  3.768  341
30.60  2.921  291
32.51  2.754  1000
32.90  2.722  296
39.04  2.307  323
44.93  2.017  296
45.28  2.003  385
49.36  1.846  243
54.68  1.679  285

# 6
Simulated powder X-ray diffraction pattern of Ga6As for CuKα, from a structure optimized by DFT (PBE).
Neutral-atom scattering factors, no anomalous dispersion.

Structure:
Cell: 6.1463 6.1463 6.1463 Å, 109.47 109.47 109.47°
Positions (direct):
Ga1 0.2500 0.5000 0.7500
Ga2 0.2500 0.7500 0.5000
Ga3 0.5000 0.2500 0.7500
Ga4 0.5000 0.7500 0.2500
Ga5 0.7500 0.2500 0.5000
Ga6 0.7500 0.5000 0.2500
As1 0.0000 0.0000 0.0000

Largest 10 diffraction maxima, in order of rising 2θ, 2θ from 5° to 70°:
2θ/deg  d_spacing  Rel. int.
17.67  5.018  185
25.10  3.549  425
30.86  2.897  1000
35.79  2.509  32
40.18  2.244  47
44.21  2.049  321
47.96  1.897  576
51.51  1.774  309
58.13  1.587  159
61.26  1.513  135

# 7
Simulated powder X-ray diffraction pattern of Ac4Bi2SeN2 for CuKα, from a structure optimized by DFT (PBE).
Neutral-atom scattering factors, no anomalous dispersion.

Structure:
Cell: 8.7171 8.7171 9.0879 Å, 116.26 116.26 29.58°
Positions (direct):
Ac1 0.0254 0.0254 0.2776
Ac2 0.2776 0.2776 0.3610
Ac3 0.7224 0.7224 0.6390
Ac4 0.9746 0.9746 0.7224
Bi1 0.3974 0.3974 0.9475
Bi2 0.6026 0.6026 0.0525
Se1 0.5000 0.5000 0.5000
N1 0.1763 0.1763 0.4846
N2 0.8237 0.8237 0.5154

Largest 10 diffraction maxima, in order of rising 2θ, 2θ from 5° to 70°:
2θ/deg  d_spacing  Rel. int.
11.86  7.459  384
23.88  3.726  289
24.83  3.585  276
26.83  3.323  270
28.37  3.145  1000
30.55  2.927  351
33.44  2.679  490
36.16  2.484  204
40.53  2.226  226
49.63  1.837  197

# 8
Simulated powder X-ray diffraction pattern of CaErCu for CuKα, from a structure optimized by DFT (PBE).
Neutral-atom scattering factors, no anomalous dispersion.

Structure:
Cell: 6.7860 6.7860 6.7860 Å, 149.84 149.84 43.18°
Positions (direct):
Ca1 0.0000 0.0000 0.0000
Er1 0.2691 0.2691 0.0000
Cu1 0.6546 0.6546 0.0000

Largest 10 diffraction maxima, in order of rising 2θ, 2θ from 5° to 70°:
2θ/deg  d_spacing  Rel. int.
14.04  6.310  691
26.21  3.400  366
28.29  3.155  131
33.12  2.705  1000
35.97  2.497  535
38.79  2.322  242
44.10  2.053  361
46.38  1.958  135
51.78  1.766  184
62.86  1.478  302

# 9
Simulated powder X-ray diffraction pattern of La4SmTl5 for CuKα, from a structure optimized by DFT (PBE).
Neutral-atom scattering factors, no anomalous dispersion.

Structure:
Cell: 3.9173 3.9173 20.2292 Å, 90.00 90.00 90.00°
Positions (direct):
La1 0.0000 0.0000 0.1014
La2 0.0000 0.0000 0.3048
La3 0.0000 0.0000 0.6952
La4 0.0000 0.0000 0.8986
Sm1 0.0000 0.0000 0.5000
Tl1 0.5000 0.5000 0.0000
Tl2 0.5000 0.5000 0.2035
Tl3 0.5000 0.5000 0.4075
Tl4 0.5000 0.5000 0.5925
Tl5 0.5000 0.5000 0.7965

Largest 10 diffraction maxima, in order of rising 2θ, 2θ from 5° to 70°:
2θ/deg  d_spacing  Rel. int.
21.97  4.046  18
22.70  3.917  35
31.80  2.814  1000
32.32  2.770  489
44.80  2.023  92
46.36  1.959  181
56.32  1.634  189
57.31  1.608  380
66.44  1.407  115
67.65  1.385  59

# 10
Simulated powder X-ray diffraction pattern of ThScTlRu for CuKα, from a structure optimized by DFT (PBE).
Neutral-atom scattering factors, no anomalous dispersion.

Structure:
Cell: 3.3739 3.3739 8.0058 Å, 90.00 90.00 90.00°
Positions (direct):
Th1 0.0000 0.0000 0.0000
Sc1 0.0000 0.0000 0.5809
Tl1 0.5000 0.5000 0.3211
Ru1 0.5000 0.5000 0.7650

Largest 10 diffraction maxima, in order of rising 2θ, 2θ from 5° to 70°:
2θ/deg  d_spacing  Rel. int.
11.05  8.006  173
28.71  3.109  467
33.58  2.669  152
34.77  2.580  1000
37.71  2.386  486
51.37  1.779  188
54.39  1.687  169
62.65  1.483  112
64.41  1.447  110
66.19  1.412  311

# 11
Simulated powder X-ray diffraction pattern of YbPr3 for CuKα, from a structure optimized by DFT (PBE).
Neutral-atom scattering factors, no anomalous dispersion.

Structure:
Cell: 5.2183 5.2183 5.2183 Å, 90.00 90.00 90.00°
Positions (direct):
Yb1 0.0000 0.0000 0.0000
Pr1 0.0000 0.5000 0.5000
Pr2 0.5000 0.0000 0.5000
Pr3 0.5000 0.5000 0.0000

Largest 7 diffraction maxima, in order of rising 2θ, 2θ from 5° to 70°:
2θ/deg  d_spacing  Rel. int.
16.99  5.218  6
24.12  3.690  5
29.65  3.013  1000
34.37  2.609  508
49.40  1.845  366
58.68  1.573  436
61.56  1.506  126

# 12
Simulated powder X-ray diffraction pattern of BaNa2SeO for CuKα, from a structure optimized by DFT (PBE).
Neutral-atom scattering factors, no anomalous dispersion.

Structure:
Cell: 7.1409 7.1409 8.1952 Å, 90.00 90.00 146.71°
Positions (direct):
Ba1 0.0352 0.9648 0.7500
Ba2 0.9648 0.0352 0.2500
Na1 0.3387 0.6613 0.5550
Na2 0.3387 0.6613 0.9450
Na3 0.6613 0.3387 0.0550
Na4 0.6613 0.3387 0.4450
Se1 0.2438 0.7562 0.2500
Se2 0.7562 0.2438 0.7500
O1 0.5000 0.5000 0.0000
O2 0.5000 0.5000 0.5000

Largest 10 diffraction maxima, in order of rising 2θ, 2θ from 5° to 70°:
2θ/deg  d_spacing  Rel. int.
21.69  4.098  545
26.05  3.421  325
28.27  3.157  382
29.33  3.045  339
31.34  2.855  942
31.59  2.832  1000
34.14  2.626  404
44.25  2.047  448
44.56  2.034  325
53.12  1.724  383